This entry pairs a crystal structure of Ga2BrCl4 with its calculated XRD peak list. Radiation: Cu Kα (weighted mean of Kα1 and Kα2). Structure: a GGA-PBE-relaxed structure.
Neutral-atom scattering factors, no anomalous dispersion.

Peak list (6 most intense, 10° ≤ 2θ ≤ 90°, in order of rising 2θ)
- 2θ 22.6, 3.935 Å, I = 100, (1 0 3)
- 2θ 25.3, 3.515 Å, I = 76, (1 1 0)
- 2θ 27.0, 3.303 Å, I = 49, (1 1 2)
- 2θ 27.7, 3.220 Å, I = 61, (0 0 6)
- 2θ 36.1, 2.486 Å, I = 78, (2 0 0)
- 2θ 46.1, 1.969 Å, I = 79, (2 0 6)

Cell and atoms:
```
14
Lattice="4.971 0.000 0.000 0.000 4.971 0.000 0.000 0.000 19.320" Properties=species:S:1:pos:R:3 pbc="T T T"
Ga 0.000 0.000 3.440
Ga 0.000 0.000 15.880
Ga 2.486 2.486 6.220
Ga 2.486 2.486 13.100
Br 0.000 0.000 9.660
Br 2.486 2.486 0.000
Cl 0.000 0.000 5.877
Cl 0.000 0.000 13.443
Cl 0.000 2.486 0.000
Cl 0.000 2.486 9.660
Cl 2.486 0.000 0.000
Cl 2.486 0.000 9.660
Cl 2.486 2.486 3.783
Cl 2.486 2.486 15.537
```